Simulated powder diffraction line list
Compound: HgMoS2O8
Radiation: Cu Ka
Structure: a GGA+U-relaxed structure

Structure:
Cell lengths 4.9381, 4.9381, 25.2246 Å; angles 90.00, 90.00, 120.00 degrees
Space group R-3 (No. 148, hexagonal axes)
Unique sites:
Hg1 0.0000 0.0000 0.0000
Mo1 0.0000 0.0000 0.5000
S1 0.0000 0.0000 0.2386
O1 0.0000 0.0000 0.2972
O2 0.0218 0.2954 0.2186

Principal peaks in the range 2θ from 10° to 90°, in order of falling intensity:
2θ/deg, Rel. int., h k l
25.16, 100.0, 1 0 4
36.39, 30.4, 1 1 0
21.95, 28.4, 0 1 2
35.37, 27.7, 0 1 8
42.46, 25.3, 2 -1 6
21.11, 20.6, 0 0 6
44.76, 16.2, 0 2 4
58.99, 15.9, 2 1 4